1.
Simulated PXRD pattern
Compound: HfSiNi
Radiation: copper Kα
Structure: a DFT-relaxed cell (GGA-PBE, the Materials Project)
Kinematic intensities with the Lorentz-polarization factor, no thermal factor.

Crystal structure
```
data_HfSiNi
_chemical_formula_sum 'Hf4 Si4 Ni4'
_cell_length_a 6.4272
_cell_length_b 3.7900
_cell_length_c 7.2233
_cell_angle_alpha 90.00
_cell_angle_beta 90.00
_cell_angle_gamma 90.00
_space_group_name_H-M_alt 'P n m a'
_space_group_IT_number 62
_space_group_name_Hall '-P 2ac 2n'
loop_
_atom_site_label
_atom_site_fract_x
_atom_site_fract_y
_atom_site_fract_z
Hf1 0.0169 0.2500 0.1851
Si1 0.2278 0.7500 0.3851
Ni1 0.1400 0.2500 0.5614
```

Principal peaks in the range 10° ≤ 2θ ≤ 80°, in order of rising 2θ:
| 2theta | I (rel.) | index |
| --- | --- | --- |
| 26.56 | 56.4 | 0 1 1 |
| 27.76 | 31.8 | 2 0 0 |
| 37.12 | 89.1 | 1 1 2 |
| 37.46 | 28.6 | 2 0 2 |
| 38.80 | 100.0 | 2 1 1 |
| 39.99 | 45.2 | 1 0 3 |
| 44.59 | 21.7 | 0 1 3 |
| 48.01 | 30.1 | 0 2 0 |
| 64.23 | 39.1 | 1 2 3 |
| 72.92 | 24.2 | 3 1 4 |


2.
Simulated PXRD pattern
Compound: MgSi16O32
Radiation: copper Kα
Structure: a DFT-relaxed cell (GGA-PBE, the Materials Project)
Kinematic intensities with the Lorentz-polarization factor, no thermal factor.

Crystal structure
```
data_MgSi16O32
_chemical_formula_sum 'Mg1 Si16 O32'
_cell_length_a 9.9075
_cell_length_b 8.4844
_cell_length_c 9.9295
_cell_angle_alpha 90.00
_cell_angle_beta 90.06
_cell_angle_gamma 90.00
_space_group_name_H-M_alt 'P 1 2/m 1'
_space_group_IT_number 10
_space_group_name_Hall '-P 2y'
loop_
_atom_site_label
_atom_site_fract_x
_atom_site_fract_y
_atom_site_fract_z
Mg1 0.0000 0.0000 0.0000
Si1 0.1212 0.1872 0.6700
Si2 0.1702 0.3128 0.3796
Si3 0.3305 0.3128 0.8794
Si4 0.3787 0.1875 0.1704
O1 0.0406 0.2183 0.3182
O2 0.1493 0.0000 0.6510
O3 0.1500 0.5000 0.3532
O4 0.1834 0.2810 0.5408
O5 0.1936 0.2521 0.8059
O6 0.3068 0.2513 0.3065
O7 0.3169 0.2811 0.0407
O8 0.3504 0.5000 0.8533
O9 0.3518 0.0000 0.1523
O10 0.4594 0.2180 0.8177
```

Principal peaks in the range 10° ≤ 2θ ≤ 80°, in order of rising 2θ:
| 2theta | I (rel.) | index |
| --- | --- | --- |
| 12.62 | 100.0 | 1 0 1 |
| 17.89 | 23.6 | 2 0 0 |
| 20.02 | 12.5 | 2 0 1 |
| 20.94 | 58.5 | 0 2 0 |
| 22.62 | 59.7 | 1 1 -2 |
| 24.52 | 15.2 | 1 2 1 |
| 28.46 | 49.0 | 3 0 1 |
| 36.23 | 9.2 | 0 0 4 |
| 36.57 | 9.0 | 0 3 2 |
| 58.21 | 8.8 | 1 5 -2 |